Diffraction record for Na2LiPdF6. The X-ray powder pattern is calculated, not measured: it uses a crystal structure in the Materials Project, relaxed with PBE and Cu Kα X-rays.

Largest 8 diffraction maxima, most intense first, 5° ≤ 2θ ≤ 70°:
2theta	d_spacing	I_rel
19.11	4.644	100
31.46	2.844	64
22.10	4.022	59
37.07	2.425	59
45.08	2.011	58
65.66	1.422	32
49.38	1.845	27
56.00	1.642	26

Structural model:
```
data_Na2LiPdF6
_chemical_formula_sum 'Na2 Li1 Pd1 F6'
_symmetry_space_group_name_H-M 'P 1'
_symmetry_Int_Tables_number 1
_cell_length_a 5.688
_cell_length_b 5.688
_cell_length_c 5.688
_cell_angle_alpha 60.00
_cell_angle_beta 60.00
_cell_angle_gamma 60.00
loop_
_symmetry_equiv_pos_as_xyz
'x,y,z'
loop_
_atom_site_label
_atom_site_type_symbol
_atom_site_fract_x
_atom_site_fract_y
_atom_site_fract_z
Na1 Na 0.250 0.250 0.250
Na2 Na 0.750 0.750 0.750
Li1 Li 0.000 0.000 0.000
Pd1 Pd 0.500 0.500 0.500
F1 F 0.247 0.247 0.753
F2 F 0.247 0.753 0.247
F3 F 0.247 0.753 0.753
F4 F 0.753 0.247 0.247
F5 F 0.753 0.247 0.753
F6 F 0.753 0.753 0.247
```

=====

Diffraction record for NaLi2RuF6. The X-ray powder pattern is calculated, not measured: it uses a crystal structure in the Materials Project, relaxed with PBE and Cu Kα X-rays.

Largest 8 diffraction maxima, most intense first, 5° ≤ 2θ ≤ 70°:
2theta	d_spacing	I_rel
21.40	4.153	100
18.50	4.795	55
49.05	1.857	38
43.59	2.076	37
30.44	2.936	31
35.86	2.504	24
63.35	1.468	20
67.69	1.384	16

Structural model:
```
data_NaLi2RuF6
_chemical_formula_sum 'Na1 Li2 Ru1 F6'
_symmetry_space_group_name_H-M 'P 1'
_symmetry_Int_Tables_number 1
_cell_length_a 5.873
_cell_length_b 5.873
_cell_length_c 5.873
_cell_angle_alpha 60.00
_cell_angle_beta 60.00
_cell_angle_gamma 60.00
loop_
_symmetry_equiv_pos_as_xyz
'x,y,z'
loop_
_atom_site_label
_atom_site_type_symbol
_atom_site_fract_x
_atom_site_fract_y
_atom_site_fract_z
Na1 Na 0.000 0.000 0.000
Li1 Li 0.250 0.250 0.250
Li2 Li 0.750 0.750 0.750
Ru1 Ru 0.500 0.500 0.500
F1 F 0.259 0.259 0.741
F2 F 0.259 0.741 0.259
F3 F 0.259 0.741 0.741
F4 F 0.741 0.259 0.259
F5 F 0.741 0.259 0.741
F6 F 0.741 0.741 0.259
```

=====

Diffraction record for Na2LiScF6. The X-ray powder pattern is calculated, not measured: it uses a crystal structure in the Materials Project, relaxed with PBE and Cu Kα X-rays.

Largest 8 diffraction maxima, most intense first, 5° ≤ 2θ ≤ 70°:
2theta	d_spacing	I_rel
45.14	2.009	100
38.83	2.319	64
65.74	1.420	52
19.13	4.639	49
31.49	2.841	44
22.13	4.017	30
37.11	2.423	25
56.07	1.640	17

Structural model:
```
data_Na2LiScF6
_chemical_formula_sum 'Na2 Li1 Sc1 F6'
_symmetry_space_group_name_H-M 'P 1'
_symmetry_Int_Tables_number 1
_cell_length_a 5.682
_cell_length_b 5.682
_cell_length_c 5.682
_cell_angle_alpha 60.00
_cell_angle_beta 60.00
_cell_angle_gamma 60.00
loop_
_symmetry_equiv_pos_as_xyz
'x,y,z'
loop_
_atom_site_label
_atom_site_type_symbol
_atom_site_fract_x
_atom_site_fract_y
_atom_site_fract_z
Na1 Na 0.250 0.250 0.250
Na2 Na 0.750 0.750 0.750
Li1 Li 0.000 0.000 0.000
Sc1 Sc 0.500 0.500 0.500
F1 F 0.250 0.250 0.750
F2 F 0.250 0.750 0.250
F3 F 0.250 0.750 0.750
F4 F 0.750 0.250 0.250
F5 F 0.750 0.250 0.750
F6 F 0.750 0.750 0.250
```

=====

Diffraction record for Na2LiTiF6. The X-ray powder pattern is calculated, not measured: it uses a crystal structure in the Materials Project, relaxed with PBE and Cu Kα X-rays.

Largest 8 diffraction maxima, most intense first, 5° ≤ 2θ ≤ 70°:
2theta	d_spacing	I_rel
45.70	1.985	100
39.30	2.292	59
19.36	4.585	59
66.62	1.404	51
31.87	2.808	48
22.39	3.970	33
37.57	2.394	27
56.80	1.621	19

Structural model:
```
data_Na2LiTiF6
_chemical_formula_sum 'Na2 Li1 Ti1 F6'
_symmetry_space_group_name_H-M 'P 1'
_symmetry_Int_Tables_number 1
_cell_length_a 5.615
_cell_length_b 5.615
_cell_length_c 5.615
_cell_angle_alpha 60.00
_cell_angle_beta 60.00
_cell_angle_gamma 60.00
loop_
_symmetry_equiv_pos_as_xyz
'x,y,z'
loop_
_atom_site_label
_atom_site_type_symbol
_atom_site_fract_x
_atom_site_fract_y
_atom_site_fract_z
Na1 Na 0.250 0.250 0.250
Na2 Na 0.750 0.750 0.750
Li1 Li 0.000 0.000 0.000
Ti1 Ti 0.500 0.500 0.500
F1 F 0.252 0.252 0.748
F2 F 0.252 0.748 0.252
F3 F 0.252 0.748 0.748
F4 F 0.748 0.252 0.252
F5 F 0.748 0.252 0.748
F6 F 0.748 0.748 0.252
```

=====

Diffraction record for NaLi2TiF6. The X-ray powder pattern is calculated, not measured: it uses a crystal structure in the Materials Project, relaxed with PBE and Cu Kα X-rays.

Largest 8 diffraction maxima, most intense first, 5° ≤ 2θ ≤ 70°:
2theta	d_spacing	I_rel
21.52	4.130	100
43.84	2.065	50
49.34	1.847	34
63.73	1.460	26
18.61	4.769	20
30.61	2.920	14
68.11	1.377	13
37.72	2.385	8

Structural model:
```
data_NaLi2TiF6
_chemical_formula_sum 'Na1 Li2 Ti1 F6'
_symmetry_space_group_name_H-M 'P 1'
_symmetry_Int_Tables_number 1
_cell_length_a 5.841
_cell_length_b 5.841
_cell_length_c 5.841
_cell_angle_alpha 60.00
_cell_angle_beta 60.00
_cell_angle_gamma 60.00
loop_
_symmetry_equiv_pos_as_xyz
'x,y,z'
loop_
_atom_site_label
_atom_site_type_symbol
_atom_site_fract_x
_atom_site_fract_y
_atom_site_fract_z
Na1 Na 0.000 0.000 0.000
Li1 Li 0.250 0.250 0.250
Li2 Li 0.750 0.750 0.750
Ti1 Ti 0.500 0.500 0.500
F1 F 0.262 0.262 0.738
F2 F 0.262 0.738 0.262
F3 F 0.262 0.738 0.738
F4 F 0.738 0.262 0.262
F5 F 0.738 0.262 0.738
F6 F 0.738 0.738 0.262
```

=====

Diffraction record for Na2LiTlF6. The X-ray powder pattern is calculated, not measured: it uses a crystal structure in the Materials Project, relaxed with PBE and Cu Kα X-rays.

Largest 8 diffraction maxima, most intense first, 5° ≤ 2θ ≤ 70°:
2theta	d_spacing	I_rel
18.40	4.822	100
35.66	2.518	66
21.28	4.176	61
30.27	2.953	60
43.34	2.088	33
47.45	1.916	33
48.76	1.867	26
53.77	1.705	25

Structural model:
```
data_Na2LiTlF6
_chemical_formula_sum 'Na2 Li1 Tl1 F6'
_symmetry_space_group_name_H-M 'P 1'
_symmetry_Int_Tables_number 1
_cell_length_a 5.905
_cell_length_b 5.905
_cell_length_c 5.905
_cell_angle_alpha 60.00
_cell_angle_beta 60.00
_cell_angle_gamma 60.00
loop_
_symmetry_equiv_pos_as_xyz
'x,y,z'
loop_
_atom_site_label
_atom_site_type_symbol
_atom_site_fract_x
_atom_site_fract_y
_atom_site_fract_z
Na1 Na 0.250 0.250 0.250
Na2 Na 0.750 0.750 0.750
Li1 Li 0.000 0.000 0.000
Tl1 Tl 0.500 0.500 0.500
F1 F 0.240 0.240 0.760
F2 F 0.240 0.760 0.240
F3 F 0.240 0.760 0.760
F4 F 0.760 0.240 0.240
F5 F 0.760 0.240 0.760
F6 F 0.760 0.760 0.240
```

=====

Diffraction record for Na2LiYF6. The X-ray powder pattern is calculated, not measured: it uses a crystal structure in the Materials Project, relaxed with PBE and Cu Kα X-rays.

Largest 8 diffraction maxima, most intense first, 5° ≤ 2θ ≤ 70°:
2theta	d_spacing	I_rel
18.37	4.829	100
43.27	2.091	84
30.22	2.957	77
35.60	2.522	68
21.25	4.182	68
62.85	1.479	46
47.38	1.919	35
53.69	1.707	31

Structural model:
```
data_Na2LiYF6
_chemical_formula_sum 'Na2 Li1 Y1 F6'
_symmetry_space_group_name_H-M 'P 1'
_symmetry_Int_Tables_number 1
_cell_length_a 5.914
_cell_length_b 5.914
_cell_length_c 5.914
_cell_angle_alpha 60.00
_cell_angle_beta 60.00
_cell_angle_gamma 60.00
loop_
_symmetry_equiv_pos_as_xyz
'x,y,z'
loop_
_atom_site_label
_atom_site_type_symbol
_atom_site_fract_x
_atom_site_fract_y
_atom_site_fract_z
Na1 Na 0.250 0.250 0.250
Na2 Na 0.750 0.750 0.750
Li1 Li 0.000 0.000 0.000
Y1 Y 0.500 0.500 0.500
F1 F 0.242 0.242 0.758
F2 F 0.242 0.758 0.242
F3 F 0.242 0.758 0.758
F4 F 0.758 0.242 0.242
F5 F 0.758 0.242 0.758
F6 F 0.758 0.758 0.242
```

=====

Diffraction record for LiNbF6. The X-ray powder pattern is calculated, not measured: it uses a crystal structure in the Materials Project, relaxed with PBE and Cu Kα X-rays.

Largest 8 diffraction maxima, most intense first, 5° ≤ 2θ ≤ 70°:
2theta	d_spacing	I_rel
22.97	3.872	100
20.02	4.435	74
38.65	2.330	39
19.36	4.584	27
52.32	1.749	25
46.93	1.936	24
53.42	1.715	14
32.30	2.772	13

Structural model:
```
data_LiNbF6
_chemical_formula_sum 'Li1 Nb1 F6'
_symmetry_space_group_name_H-M 'P 1'
_symmetry_Int_Tables_number 1
_cell_length_a 5.547
_cell_length_b 5.547
_cell_length_c 5.547
_cell_angle_alpha 58.38
_cell_angle_beta 58.38
_cell_angle_gamma 58.38
loop_
_symmetry_equiv_pos_as_xyz
'x,y,z'
loop_
_atom_site_label
_atom_site_type_symbol
_atom_site_fract_x
_atom_site_fract_y
_atom_site_fract_z
Li1 Li 0.000 0.000 0.000
Nb1 Nb 0.500 0.500 0.500
F1 F 0.171 0.343 0.742
F2 F 0.258 0.829 0.657
F3 F 0.343 0.742 0.171
F4 F 0.657 0.258 0.829
F5 F 0.742 0.171 0.343
F6 F 0.829 0.657 0.258
```

=====

Diffraction record for LiNbO2F. The X-ray powder pattern is calculated, not measured: it uses a crystal structure in the Materials Project, relaxed with PBE and Cu Kα X-rays.

Largest 8 diffraction maxima, most intense first, 5° ≤ 2θ ≤ 70°:
2theta	d_spacing	I_rel
23.27	3.822	100
22.44	3.963	51
31.44	2.845	42
33.62	2.666	27
41.28	2.187	22
32.10	2.789	19
51.74	1.767	18
47.58	1.911	17

Structural model:
```
data_LiNbO2F
_chemical_formula_sum 'Li2 Nb2 O4 F2'
_symmetry_space_group_name_H-M 'P 1'
_symmetry_Int_Tables_number 1
_cell_length_a 5.335
_cell_length_b 5.335
_cell_length_c 5.603
_cell_angle_alpha 117.01
_cell_angle_beta 117.01
_cell_angle_gamma 58.93
loop_
_symmetry_equiv_pos_as_xyz
'x,y,z'
loop_
_atom_site_label
_atom_site_type_symbol
_atom_site_fract_x
_atom_site_fract_y
_atom_site_fract_z
Li1 Li 0.204 0.796 0.500
Li2 Li 0.796 0.204 0.000
Nb1 Nb 0.463 0.955 0.142
Nb2 Nb 0.955 0.463 0.642
O1 O 0.087 0.167 0.844
O2 O 0.167 0.087 0.344
O3 O 0.697 0.821 0.877
O4 O 0.821 0.697 0.377
F1 F 0.374 0.535 0.880
F2 F 0.535 0.374 0.380
```

=====

Diffraction record for LiNb3O7F. The X-ray powder pattern is calculated, not measured: it uses a crystal structure in the Materials Project, relaxed with PBE and Cu Kα X-rays.

Largest 8 diffraction maxima, most intense first, 5° ≤ 2θ ≤ 70°:
2theta	d_spacing	I_rel
21.95	4.050	100
23.21	3.832	79
24.90	3.575	62
31.01	2.884	39
32.16	2.783	32
33.43	2.680	32
52.48	1.744	26
44.76	2.025	26

Structural model:
```
data_LiNb3O7F
_chemical_formula_sum 'Li1 Nb3 O7 F1'
_symmetry_space_group_name_H-M 'P 1'
_symmetry_Int_Tables_number 1
_cell_length_a 4.050
_cell_length_b 10.901
_cell_length_c 10.901
_cell_angle_alpha 20.58
_cell_angle_beta 90.00
_cell_angle_gamma 90.00
loop_
_symmetry_equiv_pos_as_xyz
'x,y,z'
loop_
_atom_site_label
_atom_site_type_symbol
_atom_site_fract_x
_atom_site_fract_y
_atom_site_fract_z
Li1 Li 0.000 0.000 0.000
Nb1 Nb 0.500 0.101 0.101
Nb2 Nb 0.500 0.282 0.282
Nb3 Nb 0.500 0.462 0.462
O1 O 0.000 0.092 0.092
O2 O 0.000 0.468 0.468
O3 O 0.500 0.187 0.187
O4 O 0.500 0.376 0.376
O5 O 0.500 0.573 0.573
O6 O 0.500 0.782 0.782
O7 O 0.500 0.988 0.988
F1 F 0.000 0.282 0.282
```